Simulated XRD peak list of KCl5F for Cu Kα, 1.54184 Å, from a GGA-PBE-relaxed structure.
Intensities are scaled so that the largest is 100.

Peak list (12 most intense, 2θ from 10° to 80°, in order of falling intensity)
d 3.046, 29.33 deg, intensity 100, (0 2 -1)
d 4.302, 20.64 deg, intensity 84, (1 0 0)
d 2.936, 30.45 deg, intensity 49, (1 -2 1)
d 3.981, 22.33 deg, intensity 43, (1 0 -1)
d 2.503, 35.88 deg, intensity 30, (0 0 3)
d 3.881, 22.92 deg, intensity 26, (1 -1 1)
d 2.973, 30.05 deg, intensity 25, (1 1 0)
d 3.526, 25.26 deg, intensity 18, (1 0 1)
d 2.808, 31.87 deg, intensity 17, (1 -2 0)
d 1.952, 46.52 deg, intensity 17, (0 2 -4)
d 2.274, 39.64 deg, intensity 16, (2 -1 0)
d 2.307, 39.04 deg, intensity 14, (1 0 -3)

Cell and atoms:
abc: 4.5559 6.3871 8.1595
angles: 111.66 90.75 107.50
Space group P1 (No. 1)
One atom of each set of equivalent atoms:
K: 0.0000 0.0000 0.0000 (multiplicity 1)
Cl: 0.4489 0.7022 0.5968 (multiplicity 1)
Cl: 0.4806 0.5795 0.3226 (multiplicity 1)
Cl: 0.5313 0.0857 0.3186 (multiplicity 1)
Cl: 0.5945 0.2438 0.6256 (multiplicity 1)
Cl: 0.6666 0.3939 0.9196 (multiplicity 1)
F: 0.4226 0.8250 0.8570 (multiplicity 1)